Starting from a GGA-PBE-relaxed structure, the PXRD pattern of Y2IrSe was simulated for Cu Kα, 1.54184 Å.
Kinematic intensities with the Lorentz-polarization factor, no thermal factor.

Largest 10 diffraction maxima, low angle first, 2θ = 10–90°:
- 16.45 deg, I 207, (0 0 2)
- 24.54 deg, I 163, (0 1 1)
- 32.22 deg, I 1000, (1 1 1)
- 33.26 deg, I 350, (0 0 4)
- 39.42 deg, I 205, (1 0 4)
- 40.17 deg, I 737, (1 1 3)
- 41.83 deg, I 266, (2 0 0)
- 47.18 deg, I 187, (0 2 0)
- 54.45 deg, I 170, (2 0 4)
- 64.86 deg, I 143, (2 2 0)

Atomic structure:
Unit cell a=4.320 b=3.853 c=10.776 alpha=90.00 beta=90.00 gamma=90.00
Fractional coordinates of all 8 atoms:
Y (0.000, 0.000, 0.000)
Y (0.000, 0.500, 0.500)
Y (0.500, 0.000, 0.277)
Y (0.500, 0.500, 0.777)
Ir (0.000, 0.000, 0.740)
Ir (0.000, 0.500, 0.240)
Se (0.500, 0.000, 0.552)
Se (0.500, 0.500, 0.052)